[1]
Cs2InAsS4: theoretical X-ray diffraction stick pattern (CuKα), based on a DFT-relaxed cell (PBE, Alexandria).
Kinematic intensities with the Lorentz-polarization factor, no thermal factor.

Atomic structure:
a = 14.420 Å, b = 12.803 Å, c = 8.017 Å
α = 84.33°, β = 62.08°, γ = 33.59°
Fractional positions:
Cs (0.054, 0.054, 0.696)
Cs (0.304, 0.304, 0.946)
Cs (0.696, 0.696, 0.054)
Cs (0.946, 0.946, 0.304)
In (0.125, 0.125, 0.125)
In (0.875, 0.875, 0.875)
As (0.375, 0.375, 0.375)
As (0.625, 0.625, 0.625)
S (0.025, 0.330, 0.417)
S (0.272, 0.583, 0.670)
S (0.330, 0.025, 0.728)
S (0.417, 0.728, 0.025)
S (0.583, 0.272, 0.975)
S (0.670, 0.975, 0.272)
S (0.728, 0.417, 0.330)
S (0.975, 0.670, 0.583)

Peak list (12 most intense, 2θ = 5–70°, in order of rising 2θ)
14.28°, I = 33
15.58°, I = 28
23.17°, I = 27
24.19°, I = 39
24.70°, I = 100
25.32°, I = 60
29.19°, I = 55
30.59°, I = 57
35.59°, I = 53
42.87°, I = 30
43.50°, I = 39
46.76°, I = 39

[2]
Er6CoBr10: theoretical X-ray diffraction stick pattern (CuKα), based on a DFT-relaxed cell (PBE, Alexandria).
Kinematic intensities with the Lorentz-polarization factor, no thermal factor.

Atomic structure:
a = 7.286 Å, b = 8.997 Å, c = 9.140 Å
α = 107.43°, β = 96.56°, γ = 104.28°
Fractional positions:
Er (0.036, 0.218, 0.416)
Er (0.122, 0.548, 0.258)
Er (0.350, 0.629, 0.673)
Er (0.650, 0.371, 0.327)
Er (0.878, 0.452, 0.742)
Er (0.964, 0.782, 0.584)
Co (0.000, 0.500, 0.500)
Br (0.088, 0.874, 0.327)
Br (0.228, 0.249, 0.160)
Br (0.246, 0.582, 0.957)
Br (0.335, 0.947, 0.772)
Br (0.454, 0.318, 0.587)
Br (0.546, 0.682, 0.413)
Br (0.665, 0.053, 0.228)
Br (0.754, 0.418, 0.043)
Br (0.772, 0.751, 0.840)
Br (0.912, 0.126, 0.673)

Peak list (12 most intense, 2θ = 5–70°, in order of rising 2θ)
10.36°, I = 82
10.79°, I = 80
12.81°, I = 30
29.79°, I = 100
30.96°, I = 96
31.43°, I = 97
43.26°, I = 29
43.74°, I = 61
43.99°, I = 32
44.56°, I = 30
44.85°, I = 34
54.85°, I = 31

[3]
CuNiAu2: theoretical X-ray diffraction stick pattern (CuKα), based on a DFT-relaxed cell (PBE, Alexandria).
Kinematic intensities with the Lorentz-polarization factor, no thermal factor.

Atomic structure:
a = 5.226 Å, b = 5.226 Å, c = 5.226 Å
α = 147.12°, β = 129.74°, γ = 61.37°
Fractional positions:
Cu (0.000, 0.000, 0.000)
Ni (0.225, 0.725, 0.500)
Au (0.473, 0.473, 0.000)
Au (0.747, 0.247, 0.500)

Peak list (12 most intense, 2θ = 5–70°, in order of rising 2θ)
22.34°, I = 21
31.85°, I = 17
36.17°, I = 19
40.12°, I = 26
40.65°, I = 28
41.84°, I = 100
42.96°, I = 2
52.55°, I = 9
58.44°, I = 17
60.24°, I = 6
62.83°, I = 8
67.57°, I = 2